[1]
# Cd4Se4O15
Calculated powder XRD pattern, Cu Kα. Input: a structure optimized by DFT (PBE).
Kinematic intensities with the Lorentz-polarization factor, no thermal factor.

Cell and atoms:
```
46
Lattice="9.693 0.000 0.000 0.000 8.733 0.000 -4.760 0.000 8.999" Properties=species:S:1:pos:R:3 pbc="T T T"
Cd 1.010 0.000 1.402
Cd -0.576 4.346 4.594
Cd -0.573 0.742 4.651
Cd 1.235 5.011 1.414
Cd 3.698 0.644 7.584
Cd 5.506 5.108 4.348
Cd 5.509 8.713 4.405
Cd 3.923 4.366 7.597
Se -2.937 2.498 6.598
Se -3.193 6.900 7.415
Se 0.525 2.669 7.657
Se 2.141 8.009 4.641
Se 2.792 3.643 4.357
Se 4.408 7.035 1.342
Se 8.127 2.533 1.583
Se 7.870 6.864 2.400
O -2.734 3.710 5.390
O -4.131 8.139 8.207
O -2.644 1.031 5.701
O -3.790 5.428 8.161
O -0.768 2.459 3.105
O -0.104 6.805 2.229
O 2.531 1.772 0.557
O 2.823 3.009 0.763
O 0.176 2.595 5.996
O 2.698 7.018 1.227
O -0.187 5.337 6.703
O 1.488 4.569 3.586
O 1.541 0.479 3.504
O 0.873 8.132 5.765
O 0.031 4.676 7.841
O 4.902 0.309 1.157
O 4.060 3.766 3.233
O 3.392 4.846 5.495
O 3.445 0.203 5.412
O 5.120 0.970 2.296
O 2.236 2.651 7.771
O 4.757 6.962 3.002
O 2.111 7.375 8.235
O 2.402 6.139 8.442
O 5.038 2.439 6.769
O 5.701 6.826 5.894
O 8.723 1.061 0.838
O 7.577 5.397 3.298
O 9.064 3.773 0.792
O 7.668 8.076 3.609
```

Largest 10 diffraction maxima, in order of falling intensity, 2θ = 10–90°:
| Position (°2θ) | d [Å] | Rel. int. |
| --- | --- | --- |
| 29.20 | 3.058 | 100 |
| 10.35 | 8.543 | 96 |
| 26.91 | 3.314 | 85 |
| 29.79 | 2.999 | 81 |
| 31.58 | 2.833 | 64 |
| 35.50 | 2.529 | 59 |
| 22.89 | 3.885 | 55 |
| 28.09 | 3.176 | 53 |
| 28.49 | 3.133 | 46 |
| 29.33 | 3.046 | 44 |

=====

[2]
# UIr
Calculated powder XRD pattern, Cu Kα. Input: a structure optimized by DFT (PBE).
Kinematic intensities with the Lorentz-polarization factor, no thermal factor.

Cell and atoms:
```
16
Lattice="5.598 0.000 0.000 0.000 10.630 0.000 -0.819 0.000 5.554" Properties=species:S:1:pos:R:3 pbc="T T T"
U 0.439 0.000 0.795
U 0.357 8.184 3.403
U 1.598 5.346 2.198
U 1.513 2.911 4.825
U 3.266 8.226 0.729
U 3.181 0.031 3.357
U 4.422 2.869 2.151
U 4.339 5.315 4.759
Ir 0.481 7.828 0.595
Ir 0.364 0.351 3.615
Ir 1.645 2.528 2.007
Ir 1.530 5.694 5.006
Ir 3.249 0.379 0.548
Ir 3.134 7.843 3.547
Ir 4.414 5.666 1.939
Ir 4.297 2.513 4.959
```

Largest 10 diffraction maxima, in order of falling intensity, 2θ = 10–90°:
| Position (°2θ) | d [Å] | Rel. int. |
| --- | --- | --- |
| 33.39 | 2.683 | 100 |
| 41.34 | 2.184 | 65 |
| 33.73 | 2.658 | 47 |
| 42.62 | 2.122 | 27 |
| 55.41 | 1.658 | 20 |
| 49.78 | 1.832 | 16 |
| 54.37 | 1.687 | 15 |
| 61.48 | 1.508 | 14 |
| 40.03 | 2.252 | 11 |
| 70.73 | 1.332 | 10 |

=====

[3]
# Lu2Ga8Co
Calculated powder XRD pattern, Cu Kα. Input: a structure optimized by DFT (PBE).
Kinematic intensities with the Lorentz-polarization factor, no thermal factor.

Cell and atoms:
```
11
Lattice="4.226 0.000 0.000 0.000 4.226 0.000 0.000 0.000 10.917" Properties=species:S:1:pos:R:3 pbc="T T T"
Lu 0.000 0.000 2.116
Lu 0.000 0.000 8.801
Ga 0.000 2.113 0.000
Ga 0.000 2.113 4.173
Ga 0.000 2.113 6.744
Ga 2.113 0.000 0.000
Ga 2.113 0.000 4.173
Ga 2.113 0.000 6.744
Ga 2.113 2.113 2.176
Ga 2.113 2.113 8.741
Co 0.000 0.000 5.459
```

Largest 10 diffraction maxima, in order of falling intensity, 2θ = 10–90°:
| Position (°2θ) | d [Å] | Rel. int. |
| --- | --- | --- |
| 39.00 | 2.309 | 100 |
| 42.80 | 2.113 | 58 |
| 34.21 | 2.621 | 53 |
| 75.83 | 1.255 | 30 |
| 61.02 | 1.518 | 27 |
| 21.02 | 4.226 | 25 |
| 41.35 | 2.183 | 22 |
| 62.12 | 1.494 | 19 |
| 32.47 | 2.758 | 15 |
| 77.39 | 1.233 | 14 |

=====

[4]
# Gd3Y5O12
Calculated powder XRD pattern, Cu Kα. Input: a structure optimized by DFT (PBE).
Kinematic intensities with the Lorentz-polarization factor, no thermal factor.

Cell and atoms:
```
40
Lattice="9.313 0.000 0.000 -3.100 8.788 0.000 -3.103 -4.390 7.612" Properties=species:S:1:pos:R:3 pbc="T T T"
Gd 0.000 0.000 0.000
Gd -2.705 -1.377 5.707
Gd -0.006 2.877 2.154
Gd -0.013 3.305 6.195
Gd 3.093 7.261 2.149
Gd 3.500 1.235 5.952
Y -2.708 5.202 1.907
Y -2.708 1.921 4.302
Y 0.197 -0.145 4.051
Y 0.190 6.457 0.248
Y 0.403 -3.138 5.952
Y -0.018 6.598 3.795
Y 3.099 1.102 2.396
Y 3.506 4.100 0.500
Y 6.388 2.058 0.251
Y 3.314 4.252 4.044
O -2.383 2.973 2.311
O -2.090 -0.215 3.732
O -0.641 2.294 0.009
O -3.569 0.708 6.122
O -4.927 5.209 5.853
O -2.095 6.756 0.344
O -2.370 6.408 3.808
O 0.888 0.675 2.006
O -2.381 3.395 6.036
O -0.357 5.141 2.067
O -0.454 -0.957 6.110
O -0.364 2.079 4.293
O 2.471 6.105 0.165
O 2.252 3.296 2.233
O 3.953 -0.962 1.978
O 4.105 1.816 0.486
O 2.479 -0.058 4.357
O 2.740 -3.218 5.798
O 2.241 3.165 5.769
O 2.216 6.289 4.130
O 2.614 -0.154 7.554
O 7.069 -0.120 0.561
O 4.375 2.196 3.952
O 4.375 5.336 2.314
```

Largest 10 diffraction maxima, in order of falling intensity, 2θ = 10–90°:
| Position (°2θ) | d [Å] | Rel. int. |
| --- | --- | --- |
| 28.74 | 3.106 | 100 |
| 47.82 | 1.902 | 41 |
| 56.75 | 1.622 | 30 |
| 33.31 | 2.690 | 30 |
| 20.22 | 4.393 | 15 |
| 42.85 | 2.110 | 11 |
| 35.39 | 2.536 | 8 |
| 58.14 | 1.587 | 8 |
| 52.42 | 1.746 | 7 |
| 77.29 | 1.235 | 6 |

=====

[5]
# KPO3
Calculated powder XRD pattern, Cu Kα. Input: a structure optimized by DFT (PBE).
Kinematic intensities with the Lorentz-polarization factor, no thermal factor.

Cell and atoms:
```
40
Lattice="11.610 0.000 0.000 0.000 4.593 0.000 -6.187 0.000 12.818" Properties=species:S:1:pos:R:3 pbc="T T T"
K -1.486 0.997 4.726
K -4.580 1.300 11.135
K 4.245 3.387 0.932
K 1.152 3.503 7.341
K 4.271 1.091 5.477
K 1.177 1.206 11.885
K 10.002 3.294 1.683
K 6.908 3.596 8.092
P 1.489 0.885 2.087
P -1.605 1.412 8.496
P 1.611 3.175 3.966
P -1.483 3.715 10.375
P 6.905 0.878 2.443
P 3.811 1.418 8.852
P 7.027 3.181 4.322
P 3.934 3.708 10.731
O 0.003 1.000 1.934
O -3.090 1.296 8.342
O 0.162 3.293 4.338
O -2.932 3.597 10.747
O -0.683 1.091 7.358
O 2.411 1.205 0.949
O -1.181 2.916 8.976
O 1.913 3.974 2.567
O -1.117 0.619 9.850
O 1.977 1.678 3.441
O -0.434 3.395 11.399
O 2.659 3.494 4.990
O 2.763 1.099 7.827
O 5.857 1.198 1.419
O 3.446 2.915 9.377
O 6.539 3.975 2.968
O 3.509 0.619 10.250
O 6.603 1.677 3.841
O 3.011 3.388 11.868
O 6.105 3.502 5.460
O 8.355 0.996 2.071
O 5.261 1.300 8.480
O 8.513 3.297 4.475
O 5.419 3.593 10.884
```

Largest 10 diffraction maxima, in order of falling intensity, 2θ = 10–90°:
| Position (°2θ) | d [Å] | Rel. int. |
| --- | --- | --- |
| 25.55 | 3.486 | 100 |
| 25.82 | 3.450 | 98 |
| 39.22 | 2.297 | 52 |
| 13.82 | 6.409 | 44 |
| 39.62 | 2.275 | 32 |
| 16.96 | 5.228 | 31 |
| 32.21 | 2.779 | 28 |
| 39.00 | 2.309 | 28 |
| 27.84 | 3.204 | 27 |
| 26.27 | 3.392 | 23 |

=====

[6]
# Na3AuF6
Calculated powder XRD pattern, Cu Kα. Input: a structure optimized by DFT (PBE).
Kinematic intensities with the Lorentz-polarization factor, no thermal factor.

Cell and atoms:
```
10
Lattice="0.000 4.314 4.314 4.314 0.000 4.314 4.314 4.314 0.000" Properties=species:S:1:pos:R:3 pbc="T T T"
Na 0.000 0.000 0.000
Na 2.157 2.157 2.157
Na 6.471 6.471 6.471
Au 4.314 4.314 4.314
F 4.314 4.314 2.187
F 4.314 2.187 4.314
F 6.440 4.314 4.314
F 2.187 4.314 4.314
F 4.314 6.440 4.314
F 4.314 4.314 6.440
```

Largest 10 diffraction maxima, in order of falling intensity, 2θ = 10–90°:
| Position (°2θ) | d [Å] | Rel. int. |
| --- | --- | --- |
| 17.81 | 4.981 | 100 |
| 20.59 | 4.314 | 82 |
| 29.28 | 3.050 | 81 |
| 34.48 | 2.601 | 59 |
| 41.88 | 2.157 | 43 |
| 47.11 | 1.929 | 37 |
| 51.92 | 1.761 | 34 |
| 45.85 | 1.979 | 26 |
| 60.73 | 1.525 | 26 |
| 55.33 | 1.660 | 22 |